(1)
Simulated powder X-ray diffraction pattern
Compound: Mg5NO4
Radiation: Cu Ka
Structure: a DFT-relaxed cell (PBE, Alexandria)
Kinematic intensities with the Lorentz-polarization factor, no thermal factor.

Principal peaks in the range 15 to 90 degrees two-theta, by angle:
| d/Å | I_rel |
| --- | --- |
| 2.481 | 18 |
| 2.151 | 100 |
| 2.145 | 50 |
| 1.520 | 84 |
| 1.297 | 8 |
| 1.294 | 4 |
| 1.241 | 25 |

Atomic structure:
abc: 5.266 5.266 5.266
angles: 99.55 99.55 131.91
Sites, in units of the cell vectors:
Mg: 0.000 0.000 0.000
Mg: 0.197 0.603 0.800
Mg: 0.397 0.197 0.594
Mg: 0.603 0.803 0.406
Mg: 0.803 0.397 0.200
N: 0.500 0.500 0.000
O: 0.102 0.303 0.405
O: 0.303 0.898 0.201
O: 0.697 0.102 0.799
O: 0.898 0.697 0.595

(2)
Simulated powder X-ray diffraction pattern
Compound: Ca8As
Radiation: Cu Ka
Structure: a DFT-relaxed cell (PBE, Alexandria)
Kinematic intensities with the Lorentz-polarization factor, no thermal factor.

Principal peaks in the range 15 to 90 degrees two-theta, by angle:
| d/Å | I_rel |
| --- | --- |
| 2.977 | 100 |
| 2.926 | 44 |
| 2.684 | 7 |
| 2.143 | 10 |
| 2.069 | 13 |
| 1.729 | 17 |
| 1.699 | 25 |
| 1.489 | 11 |

Atomic structure:
abc: 9.036 9.036 9.036
angles: 93.22 93.22 152.56
Sites, in units of the cell vectors:
Ca: 0.000 0.337 0.337
Ca: 0.000 0.663 0.663
Ca: 0.337 0.000 0.337
Ca: 0.358 0.358 0.715
Ca: 0.358 0.642 0.000
Ca: 0.642 0.358 0.000
Ca: 0.642 0.642 0.285
Ca: 0.663 0.000 0.663
As: 0.000 0.000 0.000